Starting from a structure optimized by DFT (PBE), the X-ray powder pattern of Rb4CuAs2Pd was calculated for a wavelength of 1.5418 Å.

Top 10 peaks for 2θ = 15–90°, in order of rising 2θ:
26.5°, I 32; 27.4°, I 49; 27.7°, I 94; 31.3°, I 72; 31.7°, I 100; 32.7°, I 31; 35.0°, I 32; 36.9°, I 29; 52.1°, I 44; 53.8°, I 29

Structure:
a = 6.612 Å, b = 6.612 Å, c = 5.997 Å
α = 91.34°, β = 91.34°, γ = 106.21°
Positions (direct):
Rb  0.017  0.677  0.749
Rb  0.323  0.983  0.251
Rb  0.677  0.017  0.749
Rb  0.983  0.323  0.251
Cu  0.500  0.500  0.000
As  0.260  0.260  0.756
As  0.740  0.740  0.244
Pd  0.500  0.500  0.500